# 1
This entry pairs a crystal structure of Ce2C2Cl with its calculated PXRD pattern. Radiation: a wavelength of 1.5418 Å. Structure: a cell relaxed with PBE.
Intensities are scaled so that the largest is 100.

Largest 10 diffraction maxima, by angle, 2θ from 10° to 80°:
2θ (°)  intensity
12.65  26.7
25.46  25.2
26.91  60.3
28.23  35.6
30.35  100.0
32.71  39.6
33.57  27.3
38.61  20.6
43.45  41.8
46.96  38.3

Structural model:
```
data_Ce2C2Cl
_chemical_formula_sum 'Ce4 C4 Cl2'
_cell_length_a 7.4202
_cell_length_b 7.4202
_cell_length_c 6.5605
_cell_angle_alpha 100.39
_cell_angle_beta 100.39
_cell_angle_gamma 32.57
_symmetry_space_group_name_H-M 'P 1'
_symmetry_Int_Tables_number 1
loop_
_symmetry_equiv_pos_as_xyz
'x,y,z'
loop_
_atom_site_label
_atom_site_type_symbol
_atom_site_fract_x
_atom_site_fract_y
_atom_site_fract_z
_atom_site_occupancy
Ce1 Ce 0.0387 0.6589 0.8524 1
Ce2 Ce 0.3411 0.9613 0.6476 1
Ce3 Ce 0.6589 0.0387 0.3524 1
Ce4 Ce 0.9613 0.3411 0.1476 1
C1 C 0.1494 0.4095 0.4728 1
C2 C 0.4095 0.1494 0.9728 1
C3 C 0.5905 0.8506 0.0272 1
C4 C 0.8506 0.5905 0.5272 1
Cl1 Cl 0.2894 0.7106 0.2500 1
Cl2 Cl 0.7106 0.2894 0.7500 1
```


# 2
This entry pairs a crystal structure of Cr2S3 with its calculated PXRD pattern. Radiation: a wavelength of 1.5418 Å. Structure: a cell relaxed with PBE.
Intensities are scaled so that the largest is 100.

Largest 10 diffraction maxima, by angle, 2θ from 10° to 80°:
2θ (°)  intensity
16.20  36.5
19.03  24.4
30.01  33.0
34.29  94.2
45.00  100.0
53.30  54.6
59.44  17.3
64.93  12.1
68.61  6.9
72.26  21.0

Structural model:
```
data_Cr2S3
_chemical_formula_sum 'Cr8 S12'
_cell_length_a 5.9538
_cell_length_b 5.9538
_cell_length_c 10.9427
_cell_angle_alpha 90.00
_cell_angle_beta 90.00
_cell_angle_gamma 120.00
_symmetry_space_group_name_H-M 'P 1'
_symmetry_Int_Tables_number 1
loop_
_symmetry_equiv_pos_as_xyz
'x,y,z'
loop_
_atom_site_label
_atom_site_type_symbol
_atom_site_fract_x
_atom_site_fract_y
_atom_site_fract_z
_atom_site_occupancy
Cr1 Cr 0.0000 0.0000 0.0000 1
Cr2 Cr 0.0000 0.0000 0.2469 1
Cr3 Cr 0.0000 0.0000 0.5161 1
Cr4 Cr 0.3333 0.6667 0.0098 1
Cr5 Cr 0.3333 0.6667 0.4997 1
Cr6 Cr 0.3333 0.6667 0.7560 1
Cr7 Cr 0.6667 0.3333 0.0045 1
Cr8 Cr 0.6667 0.3333 0.5003 1
S1 S 0.0022 0.6596 0.6284 1
S2 S 0.0041 0.3409 0.8846 1
S3 S 0.3238 0.0040 0.3827 1
S4 S 0.3309 0.3271 0.1254 1
S5 S 0.3368 0.9959 0.8846 1
S6 S 0.3404 0.3426 0.6284 1
S7 S 0.6574 0.9978 0.6284 1
S8 S 0.6591 0.6632 0.8846 1
S9 S 0.6729 0.0039 0.1254 1
S10 S 0.6802 0.6762 0.3827 1
S11 S 0.9960 0.3198 0.3827 1
S12 S 0.9961 0.6691 0.1254 1
```


# 3
This entry pairs a crystal structure of NaLuRe4O20 with its calculated PXRD pattern. Radiation: a wavelength of 1.5418 Å. Structure: a cell relaxed with PBE.
Intensities are scaled so that the largest is 100.

Largest 10 diffraction maxima, by angle, 2θ from 10° to 80°:
2θ (°)  intensity
16.08  38.5
16.59  89.8
22.02  88.2
22.82  25.2
26.07  37.5
27.39  100.0
29.89  32.4
30.16  22.4
33.56  21.3
54.34  27.4

Structural model:
```
data_NaLuRe4O20
_chemical_formula_sum 'Na2 Lu2 Re8 O40'
_cell_length_a 12.3253
_cell_length_b 12.3253
_cell_length_c 5.9280
_cell_angle_alpha 90.00
_cell_angle_beta 90.00
_cell_angle_gamma 90.00
_symmetry_space_group_name_H-M 'P 1'
_symmetry_Int_Tables_number 1
loop_
_symmetry_equiv_pos_as_xyz
'x,y,z'
loop_
_atom_site_label
_atom_site_type_symbol
_atom_site_fract_x
_atom_site_fract_y
_atom_site_fract_z
_atom_site_occupancy
Na1 Na 0.0000 0.0000 0.0000 1
Na2 Na 0.5000 0.5000 0.5000 1
Lu1 Lu 0.0000 0.5000 0.7500 1
Lu2 Lu 0.5000 0.0000 0.2500 1
Re1 Re 0.0841 0.2238 0.4705 1
Re2 Re 0.2238 0.9159 0.5295 1
Re3 Re 0.2762 0.4159 0.0295 1
Re4 Re 0.4159 0.7238 0.9705 1
Re5 Re 0.5841 0.2762 0.9705 1
Re6 Re 0.7238 0.5841 0.0295 1
Re7 Re 0.7762 0.0841 0.5295 1
Re8 Re 0.9159 0.7762 0.4705 1
O1 O 0.0225 0.1406 0.6694 1
O2 O 0.0415 0.1878 0.2011 1
O3 O 0.0511 0.3650 0.5258 1
O4 O 0.0730 0.6308 0.9952 1
O5 O 0.1308 0.5730 0.5048 1
O6 O 0.1350 0.4489 0.9742 1
O7 O 0.1406 0.9775 0.3306 1
O8 O 0.1878 0.9585 0.7989 1
O9 O 0.2084 0.7765 0.5096 1
O10 O 0.2235 0.2084 0.4904 1
O11 O 0.2765 0.7084 0.9904 1
O12 O 0.2916 0.2765 0.0096 1
O13 O 0.3122 0.4585 0.2989 1
O14 O 0.3594 0.4775 0.8306 1
O15 O 0.3650 0.9489 0.4742 1
O16 O 0.3692 0.0730 0.0048 1
O17 O 0.4270 0.1308 0.4952 1
O18 O 0.4489 0.8650 0.0258 1
O19 O 0.4585 0.6878 0.7011 1
O20 O 0.4775 0.6406 0.1694 1
O21 O 0.5225 0.3594 0.1694 1
O22 O 0.5415 0.3122 0.7011 1
O23 O 0.5511 0.1350 0.0258 1
O24 O 0.5730 0.8692 0.4952 1
O25 O 0.6308 0.9270 0.0048 1
O26 O 0.6350 0.0511 0.4742 1
O27 O 0.6406 0.5225 0.8306 1
O28 O 0.6878 0.5415 0.2989 1
O29 O 0.7084 0.7235 0.0096 1
O30 O 0.7235 0.2916 0.9904 1
O31 O 0.7765 0.7916 0.4904 1
O32 O 0.7916 0.2235 0.5096 1
O33 O 0.8122 0.0415 0.7989 1
O34 O 0.8594 0.0225 0.3306 1
O35 O 0.8650 0.5511 0.9742 1
O36 O 0.8692 0.4270 0.5048 1
O37 O 0.9270 0.3692 0.9952 1
O38 O 0.9489 0.6350 0.5258 1
O39 O 0.9585 0.8122 0.2011 1
O40 O 0.9775 0.8594 0.6694 1
```


# 4
This entry pairs a crystal structure of TaNb2FeSe10 with its calculated PXRD pattern. Radiation: a wavelength of 1.5418 Å. Structure: a cell relaxed with PBE.
Intensities are scaled so that the largest is 100.

Largest 10 diffraction maxima, by angle, 2θ from 10° to 80°:
2θ (°)  intensity
16.04  53.1
17.65  14.7
31.34  100.0
35.58  33.3
37.74  23.1
39.46  30.3
41.61  15.1
42.48  32.1
44.07  22.3
51.62  21.4

Structural model:
```
data_TaNb2FeSe10
_chemical_formula_sum 'Ta1 Nb2 Fe1 Se10'
_cell_length_a 9.6920
_cell_length_b 3.5414
_cell_length_c 10.1736
_cell_angle_alpha 90.00
_cell_angle_beta 112.33
_cell_angle_gamma 90.00
_symmetry_space_group_name_H-M 'P 1'
_symmetry_Int_Tables_number 1
loop_
_symmetry_equiv_pos_as_xyz
'x,y,z'
loop_
_atom_site_label
_atom_site_type_symbol
_atom_site_fract_x
_atom_site_fract_y
_atom_site_fract_z
_atom_site_occupancy
Ta1 Ta 0.0000 0.0000 0.0000 1
Nb1 Nb 0.2554 0.0000 0.5561 1
Nb2 Nb 0.8256 0.5000 0.2907 1
Fe1 Fe 0.0839 0.5000 0.8147 1
Se1 Se 0.0295 0.0000 0.2866 1
Se2 Se 0.0549 0.5000 0.5632 1
Se3 Se 0.2054 0.5000 0.0720 1
Se4 Se 0.2649 0.0000 0.8267 1
Se5 Se 0.3698 0.5000 0.4273 1
Se6 Se 0.4781 0.5000 0.6781 1
Se7 Se 0.6043 0.0000 0.1673 1
Se8 Se 0.7076 0.0000 0.4186 1
Se9 Se 0.7991 0.5000 0.0099 1
Se10 Se 0.8970 0.0000 0.7415 1
```


# 5
This entry pairs a crystal structure of DyCoC with its calculated PXRD pattern. Radiation: a wavelength of 1.5418 Å. Structure: a cell relaxed with PBE.
Intensities are scaled so that the largest is 100.

Largest 10 diffraction maxima, by angle, 2θ from 10° to 80°:
2θ (°)  intensity
24.70  16.9
25.17  19.5
35.55  100.0
35.89  58.9
44.06  14.4
50.65  10.7
51.66  20.2
63.63  21.1
64.29  35.5
75.27  12.8

Structural model:
```
data_DyCoC
_chemical_formula_sum 'Dy1 Co1 C1'
_cell_length_a 3.5386
_cell_length_b 3.5386
_cell_length_c 3.6042
_cell_angle_alpha 90.00
_cell_angle_beta 90.00
_cell_angle_gamma 90.00
_symmetry_space_group_name_H-M 'P 1'
_symmetry_Int_Tables_number 1
loop_
_symmetry_equiv_pos_as_xyz
'x,y,z'
loop_
_atom_site_label
_atom_site_type_symbol
_atom_site_fract_x
_atom_site_fract_y
_atom_site_fract_z
_atom_site_occupancy
Dy1 Dy 0.0000 0.0000 0.0000 1
Co1 Co 0.5000 0.5000 0.5000 1
C1 C 0.5000 0.5000 0.0000 1
```


# 6
This entry pairs a crystal structure of Ca7TlN4 with its calculated PXRD pattern. Radiation: a wavelength of 1.5418 Å. Structure: a cell relaxed with PBE.
Intensities are scaled so that the largest is 100.

Largest 10 diffraction maxima, by angle, 2θ from 10° to 80°:
2θ (°)  intensity
10.47  35.6
14.61  22.2
15.05  18.6
21.04  21.1
23.27  31.9
23.83  29.7
26.85  26.3
30.38  33.4
32.63  100.0
33.25  31.3

Structural model:
```
data_Ca7TlN4
_chemical_formula_sum 'Ca14 Tl2 N8'
_cell_length_a 11.7751
_cell_length_b 12.1225
_cell_length_c 3.6109
_cell_angle_alpha 90.00
_cell_angle_beta 90.00
_cell_angle_gamma 90.00
_symmetry_space_group_name_H-M 'P 1'
_symmetry_Int_Tables_number 1
loop_
_symmetry_equiv_pos_as_xyz
'x,y,z'
loop_
_atom_site_label
_atom_site_type_symbol
_atom_site_fract_x
_atom_site_fract_y
_atom_site_fract_z
_atom_site_occupancy
Ca1 Ca 0.0000 0.0000 0.0000 1
Ca2 Ca 0.0278 0.2311 0.4989 1
Ca3 Ca 0.2274 0.8209 0.0000 1
Ca4 Ca 0.2324 0.0648 0.5010 1
Ca5 Ca 0.2676 0.5648 0.4990 1
Ca6 Ca 0.2726 0.3209 0.0000 1
Ca7 Ca 0.4722 0.7311 0.5011 1
Ca8 Ca 0.5000 0.5000 0.0000 1
Ca9 Ca 0.5278 0.2689 0.5011 1
Ca10 Ca 0.7274 0.6791 0.0000 1
Ca11 Ca 0.7324 0.4352 0.4990 1
Ca12 Ca 0.7676 0.9352 0.5010 1
Ca13 Ca 0.7726 0.1791 0.0000 1
Ca14 Ca 0.9722 0.7689 0.4989 1
Tl1 Tl 0.0000 0.5000 0.9543 1
Tl2 Tl 0.5000 0.0000 0.0457 1
N1 N 0.1260 0.8951 0.4999 1
N2 N 0.1448 0.1641 0.0002 1
N3 N 0.3552 0.6641 0.9998 1
N4 N 0.3740 0.3951 0.5001 1
N5 N 0.6260 0.6049 0.5001 1
N6 N 0.6448 0.3359 0.9998 1
N7 N 0.8552 0.8359 0.0002 1
N8 N 0.8740 0.1049 0.4999 1
```


# 7
This entry pairs a crystal structure of Ba2LaBiO6 with its calculated PXRD pattern. Radiation: a wavelength of 1.5418 Å. Structure: a cell relaxed with PBE.
Intensities are scaled so that the largest is 100.

Largest 10 diffraction maxima, by angle, 2θ from 10° to 80°:
2θ (°)  intensity
17.19  3.6
19.88  4.3
28.25  100.0
33.26  1.8
40.38  27.6
45.40  2.1
50.02  44.2
58.44  17.4
66.15  19.0
73.43  5.7

Structural model:
```
data_Ba2LaBiO6
_chemical_formula_sum 'Ba8 La4 Bi4 O24'
_cell_length_a 8.9339
_cell_length_b 8.9339
_cell_length_c 8.9339
_cell_angle_alpha 90.00
_cell_angle_beta 90.00
_cell_angle_gamma 90.00
_symmetry_space_group_name_H-M 'P 1'
_symmetry_Int_Tables_number 1
loop_
_symmetry_equiv_pos_as_xyz
'x,y,z'
loop_
_atom_site_label
_atom_site_type_symbol
_atom_site_fract_x
_atom_site_fract_y
_atom_site_fract_z
_atom_site_occupancy
Ba1 Ba 0.2500 0.2500 0.2500 1
Ba2 Ba 0.2500 0.2500 0.7500 1
Ba3 Ba 0.2500 0.7500 0.2500 1
Ba4 Ba 0.2500 0.7500 0.7500 1
Ba5 Ba 0.7500 0.2500 0.2500 1
Ba6 Ba 0.7500 0.2500 0.7500 1
Ba7 Ba 0.7500 0.7500 0.2500 1
Ba8 Ba 0.7500 0.7500 0.7500 1
La1 La 0.0000 0.0000 0.0000 1
La2 La 0.0000 0.5000 0.5000 1
La3 La 0.5000 0.0000 0.5000 1
La4 La 0.5000 0.5000 0.0000 1
Bi1 Bi 0.0000 0.0000 0.5000 1
Bi2 Bi 0.0000 0.5000 0.0000 1
Bi3 Bi 0.5000 0.0000 0.0000 1
Bi4 Bi 0.5000 0.5000 0.5000 1
O1 O 0.0263 0.5304 0.7618 1
O2 O 0.0263 0.9696 0.7382 1
O3 O 0.0304 0.2382 0.5263 1
O4 O 0.0304 0.2618 0.9737 1
O5 O 0.2382 0.5263 0.0304 1
O6 O 0.2382 0.9737 0.4696 1
O7 O 0.2618 0.5263 0.4696 1
O8 O 0.2618 0.9737 0.0304 1
O9 O 0.4696 0.2382 0.9737 1
O10 O 0.4696 0.2618 0.5263 1
O11 O 0.4737 0.5304 0.7382 1
O12 O 0.4737 0.9696 0.7618 1
O13 O 0.5263 0.0304 0.2382 1
O14 O 0.5263 0.4696 0.2618 1
O15 O 0.5304 0.7382 0.4737 1
O16 O 0.5304 0.7618 0.0263 1
O17 O 0.7382 0.0263 0.9696 1
O18 O 0.7382 0.4737 0.5304 1
O19 O 0.7618 0.0263 0.5304 1
O20 O 0.7618 0.4737 0.9696 1
O21 O 0.9696 0.7382 0.0263 1
O22 O 0.9696 0.7618 0.4737 1
O23 O 0.9737 0.0304 0.2618 1
O24 O 0.9737 0.4696 0.2382 1
```


# 8
This entry pairs a crystal structure of Si2H6O with its calculated PXRD pattern. Radiation: a wavelength of 1.5418 Å. Structure: a cell relaxed with PBE.
Intensities are scaled so that the largest is 100.

Largest 10 diffraction maxima, by angle, 2θ from 10° to 80°:
2θ (°)  intensity
17.15  96.0
19.23  94.3
21.27  100.0
22.32  60.0
25.02  36.8
25.95  68.9
26.76  23.5
29.65  20.3
31.80  27.9
43.31  24.3

Structural model:
```
data_Si2H6O
_chemical_formula_sum 'Si8 H24 O4'
_cell_length_a 4.9072
_cell_length_b 7.9553
_cell_length_c 13.6108
_cell_angle_alpha 90.00
_cell_angle_beta 90.00
_cell_angle_gamma 90.00
_symmetry_space_group_name_H-M 'P 1'
_symmetry_Int_Tables_number 1
loop_
_symmetry_equiv_pos_as_xyz
'x,y,z'
loop_
_atom_site_label
_atom_site_type_symbol
_atom_site_fract_x
_atom_site_fract_y
_atom_site_fract_z
_atom_site_occupancy
Si1 Si 0.0380 0.2178 0.2235 1
Si2 Si 0.2277 0.9909 0.5477 1
Si3 Si 0.2723 0.0091 0.0477 1
Si4 Si 0.4620 0.7822 0.7235 1
Si5 Si 0.5380 0.2822 0.7765 1
Si6 Si 0.7277 0.5091 0.4523 1
Si7 Si 0.7723 0.4909 0.9523 1
Si8 Si 0.9620 0.7178 0.2765 1
H1 H 0.0420 0.8533 0.5139 1
H2 H 0.0515 0.9857 0.9738 1
H3 H 0.0703 0.1498 0.5590 1
H4 H 0.0799 0.1712 0.3284 1
H5 H 0.2030 0.3692 0.1981 1
H6 H 0.2438 0.2488 0.7952 1
H7 H 0.2562 0.7512 0.2952 1
H8 H 0.2970 0.6308 0.6981 1
H9 H 0.4201 0.8288 0.8284 1
H10 H 0.4297 0.8502 0.0590 1
H11 H 0.4485 0.0143 0.4738 1
H12 H 0.4580 0.1467 0.0139 1
H13 H 0.5420 0.6467 0.4861 1
H14 H 0.5515 0.5143 0.0262 1
H15 H 0.5703 0.3502 0.4410 1
H16 H 0.5799 0.3288 0.6716 1
H17 H 0.7030 0.1308 0.8019 1
H18 H 0.7438 0.2512 0.2048 1
H19 H 0.7562 0.7488 0.7048 1
H20 H 0.7970 0.8692 0.3019 1
H21 H 0.9201 0.6712 0.1716 1
H22 H 0.9297 0.6498 0.9410 1
H23 H 0.9485 0.4857 0.5262 1
H24 H 0.9580 0.3533 0.9861 1
O1 O 0.1387 0.0563 0.1556 1
O2 O 0.3613 0.9437 0.6556 1
O3 O 0.6387 0.4437 0.8444 1
O4 O 0.8613 0.5563 0.3444 1
```